No. 1
KCaBr3: calculated XRD peak list (a wavelength of 1.5418 Å), based on DFT lattice parameters and positions (PBE).

Cell and atoms:
```
KCaBr3
1.0
2.1547 -7.2123 0.0000
2.1547 7.2123 0.0000
0.0000 0.0000 10.8570
K Ca Br
2 2 6
Cartesian
2.1547 3.6946 8.1427
2.1547 -3.6946 2.7142
2.1547 0.0000 0.0000
2.1547 0.0000 5.4285
2.1547 5.3112 0.6010
2.1547 5.3112 4.8275
2.1547 1.0204 2.7142
2.1547 -1.0204 8.1427
2.1547 -5.3112 6.0295
2.1547 -5.3112 10.2560
```

Largest 10 diffraction maxima, sorted by position, 2θ from 5° to 70°:
| d_spacing | 2θ (°) | I_rel |
| --- | --- | --- |
| 3.286 | 27.13 | 63 |
| 3.235 | 27.58 | 100 |
| 3.209 | 27.80 | 88 |
| 3.077 | 29.01 | 97 |
| 2.762 | 32.41 | 42 |
| 2.718 | 32.95 | 62 |
| 2.193 | 41.16 | 43 |
| 2.155 | 41.93 | 39 |
| 1.798 | 50.77 | 40 |
| 1.793 | 50.92 | 35 |

***

No. 2
KCaBr3: calculated XRD peak list (a wavelength of 1.5418 Å), based on DFT lattice parameters and positions (PBE).

Cell and atoms:
```
KCaBr3
1.0
8.0606 0.0000 0.0000
0.0000 11.1551 0.0000
0.0000 0.0000 7.7822
K Ca Br
4 4 12
Cartesian
0.5136 2.7888 0.1291
3.5167 8.3663 4.0203
4.5439 2.7888 3.7620
7.5470 8.3663 7.6531
0.0000 0.0000 3.8911
0.0000 5.5776 3.8911
4.0303 0.0000 0.0000
4.0303 5.5776 0.0000
0.2621 8.3663 3.1086
1.5995 6.1487 6.2620
1.5995 10.5840 6.2620
2.4308 0.5711 2.3709
2.4308 5.0064 2.3709
3.7682 2.7888 6.9997
4.2924 8.3663 0.7825
5.6298 6.1487 5.4113
5.6298 10.5840 5.4113
6.4611 0.5711 1.5202
6.4611 5.0064 1.5202
7.7985 2.7888 4.6736
```

Largest 10 diffraction maxima, sorted by position, 2θ from 5° to 70°:
| d_spacing | 2θ (°) | I_rel |
| --- | --- | --- |
| 5.592 | 15.85 | 30 |
| 3.504 | 25.42 | 29 |
| 3.408 | 26.15 | 29 |
| 3.351 | 26.60 | 100 |
| 3.267 | 27.30 | 54 |
| 3.191 | 27.96 | 29 |
| 3.012 | 29.66 | 30 |
| 2.799 | 31.97 | 49 |
| 2.789 | 32.10 | 29 |
| 2.258 | 39.93 | 27 |

***

No. 3
KCaBr3: calculated XRD peak list (a wavelength of 1.5418 Å), based on DFT lattice parameters and positions (PBE).

Cell and atoms:
```
KCaBr3
1.0
4.0498 -4.0418 0.0000
4.0498 4.0418 0.0000
-0.0143 0.0000 5.7163
K Ca Br
1 1 3
Cartesian
0.0000 0.0000 0.0000
4.0202 0.0000 2.9551
2.0103 2.0121 2.9453
2.0103 -2.0121 2.9453
4.1338 0.0000 0.0928
```

Largest 10 diffraction maxima, sorted by position, 2θ from 5° to 70°:
| d_spacing | 2θ (°) | I_rel |
| --- | --- | --- |
| 5.720 | 15.49 | 34 |
| 3.302 | 27.00 | 100 |
| 2.860 | 31.28 | 92 |
| 2.558 | 35.08 | 18 |
| 2.023 | 44.79 | 43 |
| 2.020 | 44.87 | 21 |
| 1.726 | 53.07 | 25 |
| 1.723 | 53.15 | 18 |
| 1.650 | 55.70 | 16 |
| 1.430 | 65.25 | 10 |

***

No. 4
CaZn2Br6O6: calculated XRD peak list (a wavelength of 1.5418 Å), based on DFT lattice parameters and positions (PBE).

Cell and atoms:
```
CaZn2Br6O6
1.0
5.7138 -4.6344 0.0000
5.7138 4.6344 0.0000
-3.6248 0.0000 15.3838
Ca Zn Br O
2 4 12 12
Cartesian
-0.4257 0.0000 3.4788
8.2284 0.0000 11.9051
0.8786 0.0000 11.0206
3.4325 0.0000 3.3333
4.3702 0.0000 12.0505
6.9240 0.0000 4.3632
2.6559 2.7828 5.5138
4.0915 1.9244 1.9959
0.4874 0.0000 13.2952
5.1467 2.7828 9.8700
3.7112 1.9244 13.3880
2.8778 0.0000 9.8019
4.9249 0.0000 5.5820
4.0915 -1.9244 1.9959
2.6559 -2.7828 5.5138
7.3152 0.0000 2.0886
3.7112 -1.9244 13.3880
5.1467 -2.7828 9.8700
1.2743 3.5271 13.8855
1.1109 0.0000 0.8546
4.2875 3.2406 5.0546
3.5151 3.2406 10.3292
6.5284 3.5271 1.4983
1.7257 0.0000 4.1223
6.0770 0.0000 11.2615
1.2743 -3.5271 13.8855
4.2875 -3.2406 5.0546
3.5151 -3.2406 10.3292
6.6918 0.0000 14.5293
6.5284 -3.5271 1.4983
```

Largest 10 diffraction maxima, sorted by position, 2θ from 5° to 70°:
| d_spacing | 2θ (°) | I_rel |
| --- | --- | --- |
| 7.692 | 11.50 | 100 |
| 5.658 | 15.66 | 42 |
| 3.846 | 23.13 | 42 |
| 3.362 | 26.51 | 70 |
| 3.191 | 27.96 | 25 |
| 3.149 | 28.34 | 43 |
| 2.959 | 30.20 | 26 |
| 2.919 | 30.63 | 36 |
| 2.175 | 41.51 | 32 |
| 2.006 | 45.20 | 22 |

***

No. 5
CaZn2Br6O6: calculated XRD peak list (a wavelength of 1.5418 Å), based on DFT lattice parameters and positions (PBE).

Cell and atoms:
```
CaZn2Br6O6
1.0
6.4825 -5.2792 0.0000
6.4825 5.2792 0.0000
-2.6193 0.0000 11.1805
Ca Zn Br O
2 4 12 12
Cartesian
1.2014 0.0000 3.2827
9.1444 0.0000 7.8979
1.6200 0.0000 7.4774
5.4290 0.0000 2.6998
4.9168 0.0000 8.4808
8.7258 0.0000 3.7031
3.5480 3.3427 4.7266
4.2370 2.0934 1.9130
6.7977 3.3427 6.4539
2.5928 0.0000 9.6700
3.6976 0.0000 6.2704
6.1088 2.0934 9.2675
4.2370 -2.0934 1.9130
6.6482 0.0000 4.9101
7.7529 0.0000 1.5105
3.5480 -3.3427 4.7266
6.1088 -2.0934 9.2675
6.7977 -3.3427 6.4539
1.2096 1.1198 1.0175
3.2846 3.6786 6.4622
1.3785 0.0000 0.3160
1.2096 -1.1198 1.0175
7.0612 3.6786 4.7184
3.5027 0.0000 3.3228
6.8431 0.0000 7.8578
3.2846 -3.6786 6.4622
9.1362 1.1198 10.1630
8.9673 0.0000 10.8645
7.0612 -3.6786 4.7184
9.1362 -1.1198 10.1630
```

Largest 10 diffraction maxima, sorted by position, 2θ from 5° to 70°:
| d_spacing | 2θ (°) | I_rel |
| --- | --- | --- |
| 11.181 | 7.91 | 94 |
| 8.099 | 10.92 | 94 |
| 4.952 | 17.91 | 73 |
| 3.999 | 22.23 | 100 |
| 3.641 | 24.45 | 61 |
| 3.212 | 27.78 | 53 |
| 3.190 | 27.97 | 57 |
| 3.156 | 28.28 | 75 |
| 3.040 | 29.38 | 53 |
| 2.053 | 44.12 | 60 |

***

No. 6
Ca3SiBr2: calculated XRD peak list (a wavelength of 1.5418 Å), based on DFT lattice parameters and positions (PBE).

Cell and atoms:
```
Ca3SiBr2
1.0
3.9357 -2.3071 0.0000
3.9357 2.3071 0.0000
-2.7029 0.0000 11.3589
Ca Si Br
3 1 2
Cartesian
0.0000 0.0000 0.0000
2.8786 0.0000 6.6656
5.2736 0.0000 2.5184
2.6384 0.0000 1.2724
0.2537 0.0000 5.2693
5.5057 0.0000 8.1261
```

Largest 10 diffraction maxima, sorted by position, 2θ from 5° to 70°:
| d_spacing | 2θ (°) | I_rel |
| --- | --- | --- |
| 11.359 | 7.78 | 76 |
| 5.679 | 15.60 | 35 |
| 3.602 | 24.72 | 35 |
| 3.443 | 25.88 | 89 |
| 3.398 | 26.23 | 66 |
| 3.074 | 29.05 | 33 |
| 2.913 | 30.69 | 100 |
| 2.307 | 39.04 | 44 |
| 2.281 | 39.51 | 77 |
| 2.187 | 41.29 | 51 |

***

No. 7
Ca3SiBr2: calculated XRD peak list (a wavelength of 1.5418 Å), based on DFT lattice parameters and positions (PBE).

Cell and atoms:
```
Ca3SiBr2
1.0
-2.1412 2.1412 9.5665
2.1412 -2.1412 9.5665
2.1412 2.1412 -9.5665
Ca Si Br
3 1 2
Cartesian
0.0000 0.0000 0.0000
0.0000 0.0000 6.8018
0.0000 0.0000 12.3313
0.0000 0.0000 9.5665
0.0000 0.0000 3.5549
0.0000 0.0000 15.5782
```

Largest 10 diffraction maxima, sorted by position, 2θ from 5° to 70°:
| d_spacing | 2θ (°) | I_rel |
| --- | --- | --- |
| 9.567 | 9.24 | 24 |
| 3.189 | 27.98 | 36 |
| 3.028 | 29.50 | 100 |
| 2.853 | 31.35 | 51 |
| 2.196 | 41.11 | 48 |
| 2.141 | 42.21 | 36 |
| 1.778 | 51.40 | 24 |
| 1.713 | 53.50 | 21 |
| 1.612 | 57.16 | 16 |
| 1.354 | 69.40 | 15 |

***

No. 8
Ca3SiBr2: calculated XRD peak list (a wavelength of 1.5418 Å), based on DFT lattice parameters and positions (PBE).

Cell and atoms:
```
Ca3SiBr2
1.0
2.0885 1.2058 11.7079
-2.0885 1.2058 11.7079
0.0000 -2.4116 11.7079
Ca Si Br
3 1 2
Cartesian
0.0000 0.0000 0.0000
0.0000 0.0000 4.2883
0.0000 0.0000 20.1785
0.0000 0.0000 10.0918
0.0000 0.0000 25.7219
0.0000 0.0000 29.6620
```

Largest 10 diffraction maxima, sorted by position, 2θ from 5° to 70°:
| d_spacing | 2θ (°) | I_rel |
| --- | --- | --- |
| 11.708 | 7.55 | 14 |
| 3.598 | 24.74 | 38 |
| 3.543 | 25.13 | 10 |
| 3.345 | 26.65 | 16 |
| 2.934 | 30.47 | 100 |
| 2.792 | 32.06 | 37 |
| 2.394 | 37.57 | 36 |
| 2.089 | 43.32 | 50 |
| 1.701 | 53.89 | 21 |
| 1.426 | 65.46 | 21 |

***

No. 9
Ca3SiBr2: calculated XRD peak list (a wavelength of 1.5418 Å), based on DFT lattice parameters and positions (PBE).

Cell and atoms:
```
Ca3SiBr2
1.0
2.2507 1.2994 12.3601
-2.2507 1.2994 12.3601
0.0000 -2.5988 12.3601
Ca Si Br
3 1 2
Cartesian
0.0000 0.0000 0.0000
0.0000 0.0000 4.8837
0.0000 0.0000 32.1965
0.0000 0.0000 18.5401
0.0000 0.0000 10.8568
0.0000 0.0000 26.2234
```

Largest 10 diffraction maxima, sorted by position, 2θ from 5° to 70°:
| d_spacing | 2θ (°) | I_rel |
| --- | --- | --- |
| 12.360 | 7.15 | 45 |
| 6.180 | 14.33 | 32 |
| 3.451 | 25.82 | 80 |
| 3.140 | 28.43 | 100 |
| 2.687 | 33.35 | 37 |
| 2.251 | 40.06 | 65 |
| 2.191 | 41.21 | 37 |
| 1.829 | 49.85 | 20 |
| 1.819 | 50.14 | 18 |
| 1.420 | 65.79 | 16 |

***

No. 10
Ca3SiBr2: calculated XRD peak list (a wavelength of 1.5418 Å), based on DFT lattice parameters and positions (PBE).

Cell and atoms:
```
Ca3SiBr2
1.0
2.1424 1.2369 11.7273
-2.1424 1.2369 11.7273
0.0000 -2.4738 11.7273
Ca Si Br
3 1 2
Cartesian
0.0000 0.0000 0.0000
0.0000 0.0000 3.2245
0.0000 0.0000 30.8450
0.0000 0.0000 25.0602
0.0000 0.0000 9.0598
0.0000 0.0000 17.4468
```

Largest 10 diffraction maxima, sorted by position, 2θ from 5° to 70°:
| d_spacing | 2θ (°) | I_rel |
| --- | --- | --- |
| 11.727 | 7.54 | 50 |
| 3.419 | 26.06 | 65 |
| 3.282 | 27.17 | 100 |
| 2.836 | 31.55 | 94 |
| 2.553 | 35.15 | 29 |
| 2.187 | 41.29 | 36 |
| 2.142 | 42.18 | 76 |
| 1.730 | 52.93 | 19 |
| 1.709 | 53.61 | 19 |
| 1.444 | 64.54 | 17 |

***

No. 11
Ca3SiBr2: calculated XRD peak list (a wavelength of 1.5418 Å), based on DFT lattice parameters and positions (PBE).

Cell and atoms:
```
Ca3SiBr2
1.0
-2.1993 2.9603 6.8461
2.1993 -2.9603 6.8461
2.1993 2.9603 -6.8461
Ca Si Br
3 1 2
Cartesian
0.0000 0.0000 0.0000
0.0000 0.0000 4.9792
0.0000 0.0000 8.7130
0.0000 2.9603 0.0000
2.1993 0.0000 2.4282
0.0000 2.9603 4.4179
```

Largest 10 diffraction maxima, sorted by position, 2θ from 5° to 70°:
| d_spacing | 2θ (°) | I_rel |
| --- | --- | --- |
| 3.167 | 28.18 | 100 |
| 3.138 | 28.44 | 22 |
| 2.960 | 30.19 | 46 |
| 2.485 | 36.14 | 16 |
| 2.282 | 39.49 | 14 |
| 2.199 | 41.04 | 19 |
| 2.163 | 41.77 | 65 |
| 1.807 | 50.50 | 13 |
| 1.765 | 51.78 | 19 |
| 1.396 | 67.03 | 19 |

***

No. 12
Ca3SiBr2: calculated XRD peak list (a wavelength of 1.5418 Å), based on DFT lattice parameters and positions (PBE).

Cell and atoms:
```
Ca3SiBr2
1.0
4.0764 0.0000 0.0000
-2.0382 3.5303 0.0000
0.0000 0.0000 12.2037
Ca Si Br
3 1 2
Cartesian
0.0000 0.0000 0.0000
0.0000 0.0000 4.3159
0.0000 0.0000 7.8878
2.0382 1.1768 6.1019
0.0000 2.3535 2.0964
0.0000 2.3535 10.1074
```

Largest 10 diffraction maxima, sorted by position, 2θ from 5° to 70°:
| d_spacing | 2θ (°) | I_rel |
| --- | --- | --- |
| 12.204 | 7.24 | 12 |
| 3.530 | 25.23 | 26 |
| 3.391 | 26.28 | 31 |
| 3.055 | 29.23 | 34 |
| 2.666 | 33.61 | 100 |
| 2.037 | 44.47 | 47 |
| 2.008 | 45.16 | 10 |
| 1.763 | 51.85 | 10 |
| 1.619 | 56.86 | 20 |
| 1.440 | 64.75 | 19 |

***

No. 13
Ca3SiBr2: calculated XRD peak list (a wavelength of 1.5418 Å), based on DFT lattice parameters and positions (PBE).

Cell and atoms:
```
Ca3SiBr2
1.0
4.0225 -2.2190 0.0000
4.0225 2.2190 0.0000
-2.9371 0.0000 12.0472
Ca Si Br
3 1 2
Cartesian
0.0000 0.0000 0.0000
2.7729 0.0000 2.5418
2.5071 0.0000 7.3799
5.4065 0.0000 1.2728
-0.1504 0.0000 5.8949
5.1681 0.0000 8.8377
```

Largest 10 diffraction maxima, sorted by position, 2θ from 5° to 70°:
| d_spacing | 2θ (°) | I_rel |
| --- | --- | --- |
| 12.047 | 7.34 | 91 |
| 6.024 | 14.71 | 62 |
| 3.703 | 24.03 | 46 |
| 3.556 | 25.04 | 87 |
| 3.437 | 25.92 | 62 |
| 2.973 | 30.06 | 51 |
| 2.961 | 30.18 | 100 |
| 2.521 | 35.62 | 57 |
| 2.295 | 39.26 | 97 |
| 2.250 | 40.08 | 46 |

***

No. 14
Ca3SiBr2: calculated XRD peak list (a wavelength of 1.5418 Å), based on DFT lattice parameters and positions (PBE).

Cell and atoms:
```
Ca3SiBr2
1.0
4.5596 0.0000 0.0000
-2.2798 3.9487 0.0000
0.0000 0.0000 11.0957
Ca Si Br
3 1 2
Cartesian
0.0000 0.0000 0.0000
0.0000 2.6325 6.8065
2.2798 1.3162 4.2892
0.0000 0.0000 5.5479
0.0000 2.6325 1.4373
2.2798 1.3162 9.6584
```

Largest 10 diffraction maxima, sorted by position, 2θ from 5° to 70°:
| d_spacing | 2θ (°) | I_rel |
| --- | --- | --- |
| 11.096 | 7.97 | 18 |
| 3.720 | 23.92 | 9 |
| 3.217 | 27.73 | 100 |
| 2.280 | 39.53 | 37 |
| 2.270 | 39.71 | 27 |
| 1.860 | 48.97 | 19 |
| 1.761 | 51.92 | 10 |
| 1.675 | 54.82 | 13 |
| 1.609 | 57.28 | 9 |
| 1.441 | 64.67 | 16 |